# 1
For TmCrO4, a structure optimized by DFT (PBE+U) gives the calculated X-ray powder pattern in this record (λ = 1.5418 Å (Cu Kα)).
Neutral-atom scattering factors, no anomalous dispersion.

Structural model:
a = 5.9204 Å, b = 5.9204 Å, c = 5.9204 Å
α = 106.09°, β = 106.09°, γ = 116.47°
Atoms (fractional coordinates):
Tm: 0.3750 0.6250 0.7500
Tm: 0.6250 0.3750 0.2500
Cr: 0.1250 0.8750 0.2500
Cr: 0.8750 0.1250 0.7500
O: 0.1337 0.6979 0.4358
O: 0.2379 0.3021 0.9358
O: 0.3021 0.2379 0.4358
O: 0.3021 0.8663 0.0642
O: 0.6979 0.1337 0.9358
O: 0.6979 0.7621 0.5642
O: 0.7621 0.6979 0.0642
O: 0.8663 0.3021 0.5642

Main lines, by angle (15° ≤ 2θ ≤ 90°):
- 18.92 deg, intensity 42
- 25.02 deg, intensity 100
- 31.56 deg, intensity 14
- 33.83 deg, intensity 71
- 35.67 deg, intensity 22
- 40.69 deg, intensity 15
- 49.98 deg, intensity 59
- 51.34 deg, intensity 16
- 57.93 deg, intensity 14
- 62.91 deg, intensity 17



# 2
For UCrO4, a structure optimized by DFT (PBE+U) gives the calculated X-ray powder pattern in this record (λ = 1.5418 Å (Cu Kα)).
Neutral-atom scattering factors, no anomalous dispersion.

Structural model:
a = 4.8952 Å, b = 11.9691 Å, c = 5.1641 Å
α = 90.00°, β = 90.00°, γ = 90.00°
Atoms (fractional coordinates):
U: 0.0000 0.1693 0.2500
U: 0.0000 0.8307 0.7500
U: 0.5000 0.3307 0.7500
U: 0.5000 0.6693 0.2500
Cr: 0.0000 0.4375 0.2500
Cr: 0.0000 0.5625 0.7500
Cr: 0.5000 0.0625 0.7500
Cr: 0.5000 0.9375 0.2500
O: 0.2196 0.3109 0.0913
O: 0.2196 0.6891 0.5913
O: 0.2285 0.4460 0.5729
O: 0.2285 0.5540 0.0729
O: 0.2715 0.0540 0.0729
O: 0.2715 0.9460 0.5729
O: 0.2804 0.1891 0.5913
O: 0.2804 0.8109 0.0913
O: 0.7196 0.1891 0.9087
O: 0.7196 0.8109 0.4087
O: 0.7285 0.0540 0.4271
O: 0.7285 0.9460 0.9271
O: 0.7715 0.4460 0.9271
O: 0.7715 0.5540 0.4271
O: 0.7804 0.3109 0.4087
O: 0.7804 0.6891 0.9087

Main lines, by angle (15° ≤ 2θ ≤ 90°):
- 22.74 deg, intensity 31
- 26.16 deg, intensity 100
- 28.87 deg, intensity 47
- 34.68 deg, intensity 40
- 36.72 deg, intensity 10
- 43.63 deg, intensity 13
- 45.76 deg, intensity 38
- 51.40 deg, intensity 42
- 57.25 deg, intensity 11
- 60.00 deg, intensity 21



# 3
For UCr2O6, a structure optimized by DFT (PBE+U) gives the calculated X-ray powder pattern in this record (λ = 1.5418 Å (Cu Kα)).
Neutral-atom scattering factors, no anomalous dispersion.

Structural model:
a = 5.1019 Å, b = 5.1019 Å, c = 4.6330 Å
α = 90.00°, β = 90.00°, γ = 120.00°
Atoms (fractional coordinates):
U: 0.0000 0.0000 0.0000
Cr: 0.3333 0.6667 0.5000
Cr: 0.6667 0.3333 0.5000
O: 0.0000 0.3377 0.2638
O: 0.0000 0.6623 0.7362
O: 0.3377 0.0000 0.2638
O: 0.3377 0.3377 0.7362
O: 0.6623 0.0000 0.7362
O: 0.6623 0.6623 0.2638

Main lines, by angle (15° ≤ 2θ ≤ 90°):
- 20.10 deg, intensity 39
- 27.90 deg, intensity 100
- 35.18 deg, intensity 28
- 40.36 deg, intensity 11
- 44.14 deg, intensity 12
- 45.49 deg, intensity 27
- 53.43 deg, intensity 29
- 58.77 deg, intensity 25
- 63.13 deg, intensity 11
- 81.19 deg, intensity 10



# 4
For VCrO5, a structure optimized by DFT (PBE+U) gives the calculated X-ray powder pattern in this record (λ = 1.5418 Å (Cu Kα)).
Neutral-atom scattering factors, no anomalous dispersion.

Structural model:
a = 7.4570 Å, b = 6.6878 Å, c = 7.8261 Å
α = 90.00°, β = 90.00°, γ = 90.00°
Atoms (fractional coordinates):
V: 0.1564 0.2500 0.2381
V: 0.3436 0.7500 0.7381
V: 0.6564 0.2500 0.2619
V: 0.8436 0.7500 0.7619
Cr: 0.1223 0.7500 0.1249
Cr: 0.3777 0.2500 0.6249
Cr: 0.6223 0.7500 0.3751
Cr: 0.8777 0.2500 0.8751
O: 0.0568 0.2500 0.0017
O: 0.1231 0.5462 0.2492
O: 0.1231 0.9538 0.2492
O: 0.1237 0.7500 0.6929
O: 0.2045 0.2500 0.4937
O: 0.2955 0.7500 0.9937
O: 0.3763 0.2500 0.1929
O: 0.3769 0.0462 0.7492
O: 0.3769 0.4538 0.7492
O: 0.4432 0.7500 0.5017
O: 0.5568 0.2500 0.4983
O: 0.6231 0.5462 0.2508
O: 0.6231 0.9538 0.2508
O: 0.6237 0.7500 0.8071
O: 0.7045 0.2500 0.0063
O: 0.7955 0.7500 0.5063
O: 0.8763 0.2500 0.3071
O: 0.8769 0.0462 0.7508
O: 0.8769 0.4538 0.7508
O: 0.9432 0.7500 0.9983

Main lines, by angle (15° ≤ 2θ ≤ 90°):
- 16.42 deg, intensity 41
- 21.15 deg, intensity 30
- 22.72 deg, intensity 28
- 25.71 deg, intensity 26
- 26.48 deg, intensity 100
- 26.66 deg, intensity 74
- 29.02 deg, intensity 27
- 36.99 deg, intensity 25
- 37.37 deg, intensity 18
- 54.73 deg, intensity 23



# 5
For VCr2O6, a structure optimized by DFT (PBE+U) gives the calculated X-ray powder pattern in this record (λ = 1.5418 Å (Cu Kα)).
Neutral-atom scattering factors, no anomalous dispersion.

Structural model:
a = 4.4421 Å, b = 16.6583 Å, c = 4.9191 Å
α = 90.00°, β = 90.00°, γ = 90.00°
Atoms (fractional coordinates):
V: 0.0000 0.1123 0.2500
V: 0.0000 0.8877 0.7500
V: 0.5000 0.3877 0.7500
V: 0.5000 0.6123 0.2500
Cr: 0.0000 0.2176 0.7500
Cr: 0.0000 0.4495 0.2500
Cr: 0.0000 0.5505 0.7500
Cr: 0.0000 0.7824 0.2500
Cr: 0.5000 0.0505 0.7500
Cr: 0.5000 0.2824 0.2500
Cr: 0.5000 0.7176 0.7500
Cr: 0.5000 0.9495 0.2500
O: 0.2251 0.1285 0.5699
O: 0.2251 0.2058 0.0874
O: 0.2251 0.7942 0.5874
O: 0.2251 0.8715 0.0699
O: 0.2396 0.4586 0.5920
O: 0.2396 0.5414 0.0920
O: 0.2604 0.0414 0.0920
O: 0.2604 0.9586 0.5920
O: 0.2749 0.2942 0.5874
O: 0.2749 0.3715 0.0699
O: 0.2749 0.6285 0.5699
O: 0.2749 0.7058 0.0874
O: 0.7251 0.2942 0.9126
O: 0.7251 0.3715 0.4301
O: 0.7251 0.6285 0.9301
O: 0.7251 0.7058 0.4126
O: 0.7396 0.0414 0.4080
O: 0.7396 0.9586 0.9080
O: 0.7604 0.4586 0.9080
O: 0.7604 0.5414 0.4080
O: 0.7749 0.1285 0.9301
O: 0.7749 0.2058 0.4126
O: 0.7749 0.7942 0.9126
O: 0.7749 0.8715 0.4301

Main lines, by angle (15° ≤ 2θ ≤ 90°):
- 25.68 deg, intensity 52
- 31.56 deg, intensity 100
- 37.19 deg, intensity 18
- 42.57 deg, intensity 17
- 45.19 deg, intensity 15
- 53.64 deg, intensity 16
- 55.77 deg, intensity 21
- 56.24 deg, intensity 36
- 62.67 deg, intensity 14
- 66.19 deg, intensity 15